This entry pairs a crystal structure of MgPd3 with its calculated XRD peak list. Radiation: Cu Kα (weighted mean of Kα1 and Kα2). Structure: a PBE-relaxed structure.

Largest 10 diffraction maxima, low angle first, 2θ = 10–90°:
2θ (°)  d (Å)  I/Imax
22.8  3.905  5.8
24.9  3.573  18.5
39.2  2.298  100.0
45.1  2.009  33.3
46.5  1.952  15.2
65.7  1.421  10.5
66.8  1.400  20.0
79.3  1.208  24.4
81.3  1.183  11.5
84.3  1.149  10.5

Atomic structure:
Cell lengths 4.829, 4.829, 4.829 Å; angles 130.83, 130.83, 72.09 degrees
Sites, in units of the cell vectors:
Mg 0.000 0.000 0.000
Pd 0.250 0.750 0.500
Pd 0.500 0.500 0.000
Pd 0.750 0.250 0.500

=====

This entry pairs a crystal structure of Sm3CuSiS7 with its calculated XRD peak list. Radiation: Cu Kα (weighted mean of Kα1 and Kα2). Structure: a PBE-relaxed structure.

Largest 10 diffraction maxima, low angle first, 2θ = 10–90°:
2θ (°)  d (Å)  I/Imax
23.4  3.795  42.1
25.6  3.481  100.0
27.0  3.305  39.1
31.1  2.878  31.0
35.6  2.524  41.0
37.1  2.425  54.1
40.4  2.235  50.0
41.6  2.170  50.9
48.0  1.896  34.6
49.1  1.854  30.1

Atomic structure:
Cell lengths 10.096, 10.096, 5.755 Å; angles 90.00, 90.00, 120.00 degrees
Sites, in units of the cell vectors:
Sm 0.125 0.356 0.000
Sm 0.232 0.875 0.000
Sm 0.356 0.232 0.500
Sm 0.644 0.768 0.000
Sm 0.768 0.125 0.500
Sm 0.875 0.644 0.500
Cu 0.000 0.000 0.470
Cu 0.000 0.000 0.970
Si 0.333 0.667 0.587
Si 0.667 0.333 0.087
S 0.089 0.254 0.482
S 0.110 0.587 0.733
S 0.165 0.911 0.482
S 0.254 0.165 0.982
S 0.333 0.667 0.220
S 0.413 0.523 0.733
S 0.477 0.890 0.733
S 0.523 0.110 0.233
S 0.587 0.477 0.233
S 0.667 0.333 0.720
S 0.746 0.835 0.482
S 0.835 0.089 0.982
S 0.890 0.413 0.233
S 0.911 0.746 0.982

=====

This entry pairs a crystal structure of YI3O9 with its calculated XRD peak list. Radiation: Cu Kα (weighted mean of Kα1 and Kα2). Structure: a PBE-relaxed structure.

Largest 10 diffraction maxima, low angle first, 2θ = 10–90°:
2θ (°)  d (Å)  I/Imax
20.5  4.334  28.9
22.7  3.914  60.0
24.1  3.699  19.6
25.8  3.459  100.0
26.6  3.355  83.5
29.9  2.985  34.5
30.8  2.902  35.8
31.9  2.807  20.8
43.3  2.091  17.1
45.2  2.007  19.0

Atomic structure:
Cell lengths 8.817, 6.152, 16.763 Å; angles 90.00, 114.80, 90.00 degrees
Sites, in units of the cell vectors:
Y 0.147 0.214 0.105
Y 0.147 0.286 0.605
Y 0.853 0.714 0.395
Y 0.853 0.786 0.895
I 0.074 0.189 0.358
I 0.074 0.311 0.858
I 0.355 0.644 0.520
I 0.355 0.856 0.020
I 0.418 0.594 0.802
I 0.418 0.906 0.302
I 0.582 0.094 0.698
I 0.582 0.406 0.198
I 0.645 0.144 0.980
I 0.645 0.356 0.480
I 0.926 0.689 0.142
I 0.926 0.811 0.642
O 0.059 0.052 0.687
O 0.059 0.448 0.187
O 0.094 0.605 0.670
O 0.094 0.895 0.170
O 0.116 0.130 0.472
O 0.116 0.370 0.972
O 0.126 0.628 0.485
O 0.126 0.872 0.985
O 0.341 0.582 0.889
O 0.341 0.918 0.389
O 0.344 0.177 0.256
O 0.344 0.323 0.756
O 0.353 0.070 0.941
O 0.353 0.430 0.441
O 0.363 0.011 0.635
O 0.363 0.489 0.135
O 0.390 0.028 0.116
O 0.390 0.472 0.616
O 0.610 0.528 0.384
O 0.610 0.972 0.884
O 0.637 0.511 0.865
O 0.637 0.989 0.365
O 0.647 0.570 0.559
O 0.647 0.930 0.059
O 0.656 0.677 0.244
O 0.656 0.823 0.744
O 0.659 0.082 0.611
O 0.659 0.418 0.111
O 0.874 0.128 0.015
O 0.874 0.372 0.515
O 0.884 0.630 0.028
O 0.884 0.870 0.528
O 0.906 0.105 0.830
O 0.906 0.395 0.330
O 0.941 0.552 0.813
O 0.941 0.948 0.313

=====

This entry pairs a crystal structure of Mg14ZnC with its calculated XRD peak list. Radiation: Cu Kα (weighted mean of Kα1 and Kα2). Structure: a PBE-relaxed structure.

Largest 10 diffraction maxima, low angle first, 2θ = 10–90°:
2θ (°)  d (Å)  I/Imax
17.6  5.025  9.0
33.7  2.660  9.5
35.7  2.512  100.0
36.1  2.489  29.5
37.5  2.397  12.5
40.7  2.217  10.8
42.6  2.122  10.9
47.1  1.929  10.0
64.0  1.455  8.4
70.6  1.334  9.6

Atomic structure:
Cell lengths 8.869, 6.296, 6.296 Å; angles 75.61, 90.00, 90.00 degrees
Sites, in units of the cell vectors:
Mg 0.000 0.000 0.000
Mg 0.000 0.464 0.464
Mg 0.000 0.515 0.942
Mg 0.000 0.942 0.515
Mg 0.239 0.229 0.229
Mg 0.273 0.808 0.808
Mg 0.318 0.327 0.703
Mg 0.318 0.703 0.327
Mg 0.500 0.049 0.488
Mg 0.500 0.488 0.049
Mg 0.682 0.327 0.703
Mg 0.682 0.703 0.327
Mg 0.727 0.808 0.808
Mg 0.761 0.229 0.229
Zn 0.500 0.020 0.020
C 0.500 0.414 0.414